Calculated X-ray diffraction stick pattern
Compound: AcPrTeP
Radiation: CuKα
Structure: the GGA-PBE geometry in Alexandria

Crystal structure
```
data_AcPrTeP
_chemical_formula_sum 'Ac3 Pr3 Te3 P3'
_space_group_name_H-M_alt 'R 3 m'
_space_group_IT_number 160
_space_group_name_Hall 'R 3 -2"'
_cell_length_a 4.3557
_cell_length_b 4.3557
_cell_length_c 23.3823
_cell_angle_alpha 90.00
_cell_angle_beta 90.00
_cell_angle_gamma 120.00
loop_
_atom_site_label
_atom_site_type_symbol
_atom_site_fract_x
_atom_site_fract_y
_atom_site_fract_z
Ac1 Ac 0.0000 0.0000 0.0000
Pr1 Pr 0.0000 0.0000 0.1918
Te1 Te 0.0000 0.0000 0.4325
P1 P 0.0000 0.0000 0.5933
```

Top 10 peaks for 15° ≤ 2θ ≤ 90°, by angle:
| 2theta | d [Å] | intensity | hkl |
| --- | --- | --- | --- |
| 23.89 | 3.724 | 39 | 1 0 1 |
| 24.80 | 3.590 | 36 | 0 1 2 |
| 28.15 | 3.170 | 57 | 1 0 4 |
| 30.45 | 2.936 | 100 | 0 1 5 |
| 35.91 | 2.501 | 33 | 1 0 7 |
| 41.46 | 2.178 | 55 | 1 1 0 |
| 45.65 | 1.987 | 16 | 1 0 10 |
| 52.30 | 1.749 | 22 | 2 0 5 |
| 55.02 | 1.669 | 21 | 1 1 9 |
| 68.86 | 1.363 | 28 | 1 2 5 |



Calculated X-ray diffraction stick pattern
Compound: RbGa2HgTe4
Radiation: CuKα
Structure: the GGA-PBE geometry in Alexandria

Crystal structure
```
data_RbGa2HgTe4
_chemical_formula_sum 'Rb2 Ga4 Hg2 Te8'
_space_group_name_H-M_alt 'I 2 2 2'
_space_group_IT_number 23
_cell_length_a 7.0758
_cell_length_b 8.7131
_cell_length_c 9.7737
_cell_angle_alpha 90.00
_cell_angle_beta 90.00
_cell_angle_gamma 90.00
loop_
_space_group_symop_operation_xyz
'x,y,z'
'-x,-y,z'
'x,-y,-z'
'-x,y,-z'
'x+1/2,y+1/2,z+1/2'
'-x+1/2,-y+1/2,z+1/2'
'x+1/2,-y+1/2,-z+1/2'
'-x+1/2,y+1/2,-z+1/2'
loop_
_atom_site_label
_atom_site_type_symbol
_atom_site_fract_x
_atom_site_fract_y
_atom_site_fract_z
Rb1 Rb 0.0000 0.0000 0.0000
Ga1 Ga 0.0000 0.5000 0.1325
Hg1 Hg 0.0000 0.0000 0.5000
Te1 Te 0.2283 0.1834 0.3096
```

Top 10 peaks for 15° ≤ 2θ ≤ 90°, by angle:
| 2theta | d [Å] | intensity | hkl |
| --- | --- | --- | --- |
| 24.38 | 3.651 | 100 | 1 1 2 |
| 25.69 | 3.468 | 59 | 1 2 1 |
| 27.43 | 3.252 | 58 | 0 2 2 |
| 31.21 | 2.866 | 60 | 2 0 2 |
| 32.60 | 2.746 | 79 | 2 2 0 |
| 38.23 | 2.354 | 24 | 1 3 2 |
| 40.40 | 2.232 | 60 | 1 1 4 |
| 43.87 | 2.064 | 25 | 3 1 2 |
| 44.50 | 2.036 | 24 | 1 4 1 |
| 55.14 | 1.666 | 22 | 3 1 4 |



Calculated X-ray diffraction stick pattern
Compound: PaHSeBr
Radiation: CuKα
Structure: the GGA-PBE geometry in Alexandria

Crystal structure
```
data_PaHSeBr
_chemical_formula_sum 'Pa2 H2 Se2 Br2'
_space_group_name_H-M_alt 'C 1 m 1'
_space_group_IT_number 8
_cell_length_a 6.8143
_cell_length_b 3.9343
_cell_length_c 7.5740
_cell_angle_alpha 90.00
_cell_angle_beta 107.56
_cell_angle_gamma 90.00
loop_
_space_group_symop_operation_xyz
'x,y,z'
'x,-y,z'
'x+1/2,y+1/2,z'
'x+1/2,-y+1/2,z'
loop_
_atom_site_label
_atom_site_type_symbol
_atom_site_fract_x
_atom_site_fract_y
_atom_site_fract_z
Pa1 Pa 0.0000 0.0000 0.0000
H1 H 0.1721 0.5000 0.0161
Se1 Se 0.2531 0.0000 0.7607
Br1 Br 0.4264 0.0000 0.2774
```

Top 10 peaks for 15° ≤ 2θ ≤ 90°, by angle:
| 2theta | d [Å] | intensity | hkl |
| --- | --- | --- | --- |
| 26.48 | 3.366 | 63 | 2 0 -1 |
| 27.44 | 3.250 | 68 | 2 0 0 |
| 31.01 | 2.884 | 100 | 1 1 1 |
| 33.46 | 2.678 | 91 | 2 0 1 |
| 39.33 | 2.291 | 69 | 2 0 -3 |
| 42.65 | 2.120 | 30 | 1 1 -3 |
| 46.15 | 1.967 | 60 | 0 2 0 |
| 47.93 | 1.898 | 35 | 3 1 -2 |
| 58.19 | 1.585 | 19 | 2 2 1 |
| 70.81 | 1.331 | 21 | 0 2 4 |



Calculated X-ray diffraction stick pattern
Compound: UBeAu
Radiation: CuKα
Structure: the GGA-PBE geometry in Alexandria

Crystal structure
```
data_UBeAu
_chemical_formula_sum 'U2 Be2 Au2'
_space_group_name_H-M_alt 'P 4/n m m'
_space_group_IT_number 129
_cell_length_a 2.8954
_cell_length_b 2.8954
_cell_length_c 11.3639
_cell_angle_alpha 90.00
_cell_angle_beta 90.00
_cell_angle_gamma 90.00
loop_
_space_group_symop_operation_xyz
'x,y,z'
'-x,-y,-z'
'-y+1/2,x,z'
'y+1/2,-x,-z'
'-x+1/2,-y+1/2,z'
'x+1/2,y+1/2,-z'
'y,-x+1/2,z'
'-y,x+1/2,-z'
'x+1/2,-y,-z'
'-x+1/2,y,z'
'-y,-x,-z'
'y,x,z'
'-x,y+1/2,-z'
'x,-y+1/2,z'
'y+1/2,x+1/2,-z'
'-y+1/2,-x+1/2,z'
loop_
_atom_site_label
_atom_site_type_symbol
_atom_site_fract_x
_atom_site_fract_y
_atom_site_fract_z
U1 U 0.2500 0.2500 0.1090
Be1 Be 0.2500 0.2500 0.4480
Au1 Au 0.2500 0.2500 0.6687
```

Top 10 peaks for 15° ≤ 2θ ≤ 90°, by angle:
| 2theta | d [Å] | intensity | hkl |
| --- | --- | --- | --- |
| 31.49 | 2.841 | 19 | 0 0 4 |
| 34.77 | 2.580 | 100 | 1 0 2 |
| 39.16 | 2.300 | 22 | 1 0 3 |
| 39.66 | 2.273 | 13 | 0 0 5 |
| 44.24 | 2.047 | 32 | 1 1 0 |
| 55.31 | 1.661 | 16 | 1 1 4 |
| 60.90 | 1.521 | 15 | 1 1 5 |
| 64.35 | 1.448 | 11 | 2 0 0 |
| 65.97 | 1.416 | 18 | 1 0 7 |
| 75.27 | 1.263 | 26 | 0 0 9 |



Calculated X-ray diffraction stick pattern
Compound: InP2AuO8
Radiation: CuKα
Structure: the GGA-PBE geometry in Alexandria

Crystal structure
```
data_InP2AuO8
_chemical_formula_sum 'In3 P6 Au3 O24'
_space_group_name_H-M_alt 'R -3'
_space_group_IT_number 148
_space_group_name_Hall '-R 3'
_cell_length_a 4.8943
_cell_length_b 4.8943
_cell_length_c 21.6733
_cell_angle_alpha 90.00
_cell_angle_beta 90.00
_cell_angle_gamma 120.00
loop_
_atom_site_label
_atom_site_type_symbol
_atom_site_fract_x
_atom_site_fract_y
_atom_site_fract_z
In1 In 0.0000 0.0000 0.0000
P1 P 0.0000 0.0000 0.2512
Au1 Au 0.0000 0.0000 0.5000
O1 O 0.0000 0.0000 0.1785
O2 O 0.0022 0.3019 0.2725
```

Top 10 peaks for 15° ≤ 2θ ≤ 90°, by angle:
| 2theta | d [Å] | intensity | hkl |
| --- | --- | --- | --- |
| 22.52 | 3.947 | 47 | 0 1 2 |
| 24.65 | 3.612 | 12 | 0 0 6 |
| 26.70 | 3.338 | 100 | 1 0 4 |
| 36.72 | 2.447 | 39 | 1 1 0 |
| 39.48 | 2.283 | 30 | 0 1 8 |
| 43.51 | 2.080 | 12 | 2 0 2 |
| 44.73 | 2.026 | 35 | 1 1 6 |
| 45.98 | 1.974 | 20 | 0 2 4 |
| 60.24 | 1.536 | 18 | 3 -1 4 |
| 64.07 | 1.453 | 22 | 2 -1 12 |



Calculated X-ray diffraction stick pattern
Compound: AcPm5Nd3
Radiation: CuKα
Structure: the GGA-PBE geometry in Alexandria

Crystal structure
```
data_AcPm5Nd3
_chemical_formula_sum 'Ac4 Pm20 Nd12'
_space_group_name_H-M_alt 'I m m a'
_space_group_IT_number 74
_space_group_name_Hall '-I 2b 2'
_cell_length_a 7.3783
_cell_length_b 18.3000
_cell_length_c 9.6378
_cell_angle_alpha 90.00
_cell_angle_beta 90.00
_cell_angle_gamma 90.00
loop_
_atom_site_label
_atom_site_type_symbol
_atom_site_fract_x
_atom_site_fract_y
_atom_site_fract_z
Ac1 Ac 0.0000 0.2500 0.0925
Pm1 Pm 0.0000 0.2500 0.4539
Pm2 Pm 0.2434 0.0838 0.4259
Nd1 Nd 0.0000 0.0683 0.7553
Nd2 Nd 0.2500 0.2500 0.7500
```

Top 10 peaks for 15° ≤ 2θ ≤ 90°, by angle:
| 2theta | d [Å] | intensity | hkl |
| --- | --- | --- | --- |
| 28.20 | 3.164 | 63 | 0 1 3 |
| 29.28 | 3.050 | 66 | 0 6 0 |
| 29.78 | 3.000 | 100 | 2 3 1 |
| 32.08 | 2.790 | 59 | 2 2 2 |
| 36.42 | 2.467 | 27 | 2 4 2 |
| 37.24 | 2.414 | 39 | 0 5 3 |
| 49.40 | 1.845 | 21 | 4 0 0 |
| 50.63 | 1.803 | 20 | 2 8 2 |
| 55.89 | 1.645 | 26 | 2 3 5 |
| 58.47 | 1.578 | 19 | 4 6 0 |



Calculated X-ray diffraction stick pattern
Compound: AlTl2SiS4
Radiation: CuKα
Structure: the GGA-PBE geometry in Alexandria

Crystal structure
```
data_AlTl2SiS4
_chemical_formula_sum 'Al8 Tl16 Si8 S32'
_space_group_name_H-M_alt 'F d d d'
_space_group_IT_number 70
_cell_length_a 5.7421
_cell_length_b 12.4874
_cell_length_c 26.1397
_cell_angle_alpha 90.00
_cell_angle_beta 90.00
_cell_angle_gamma 90.00
loop_
_space_group_symop_operation_xyz
'x,y,z'
'-x,-y,-z'
'-x+1/4,-y+1/4,z'
'x+1/4,y+1/4,-z'
'x,-y+1/4,-z+1/4'
'-x,y+1/4,z+1/4'
'-x+1/4,y,-z+1/4'
'x+1/4,-y,z+1/4'
'x,y+1/2,z+1/2'
'-x,-y+1/2,-z+1/2'
'-x+1/4,-y+3/4,z+1/2'
'x+1/4,y+3/4,-z+1/2'
'x,-y+3/4,-z+3/4'
'-x,y+3/4,z+3/4'
'-x+1/4,y+1/2,-z+3/4'
'x+1/4,-y+1/2,z+3/4'
'x+1/2,y,z+1/2'
'-x+1/2,-y,-z+1/2'
'-x+3/4,-y+1/4,z+1/2'
'x+3/4,y+1/4,-z+1/2'
'x+1/2,-y+1/4,-z+3/4'
'-x+1/2,y+1/4,z+3/4'
'-x+3/4,y,-z+3/4'
'x+3/4,-y,z+3/4'
'x+1/2,y+1/2,z'
'-x+1/2,-y+1/2,-z'
'-x+3/4,-y+3/4,z'
'x+3/4,y+3/4,-z'
'x+1/2,-y+3/4,-z+1/4'
'-x+1/2,y+3/4,z+1/4'
'-x+3/4,y+1/2,-z+1/4'
'x+3/4,-y+1/2,z+1/4'
loop_
_atom_site_label
_atom_site_type_symbol
_atom_site_fract_x
_atom_site_fract_y
_atom_site_fract_z
Al1 Al 0.1250 0.1250 0.1250
Tl1 Tl 0.1250 0.1250 0.2651
Si1 Si 0.1250 0.1250 0.6250
S1 S 0.1096 0.2784 0.8302
```

Top 10 peaks for 15° ≤ 2θ ≤ 90°, by angle:
| 2theta | d [Å] | intensity | hkl |
| --- | --- | --- | --- |
| 17.33 | 5.116 | 72 | 1 1 1 |
| 19.84 | 4.476 | 100 | 1 1 3 |
| 24.92 | 3.573 | 47 | 0 2 6 |
| 26.67 | 3.342 | 48 | 1 3 1 |
| 28.39 | 3.143 | 96 | 1 3 3 |
| 29.41 | 3.037 | 96 | 1 1 7 |
| 31.77 | 2.817 | 46 | 0 4 4 |
| 34.38 | 2.608 | 49 | 2 2 0 |
| 37.11 | 2.423 | 53 | 2 2 4 |
| 54.42 | 1.686 | 41 | 2 6 0 |



Calculated X-ray diffraction stick pattern
Compound: In2PbAu2
Radiation: CuKα
Structure: the GGA-PBE geometry in Alexandria

Crystal structure
```
data_In2PbAu2
_chemical_formula_sum 'In4 Pb2 Au4'
_space_group_name_H-M_alt 'P -1'
_space_group_IT_number 2
_cell_length_a 4.0802
_cell_length_b 7.3845
_cell_length_c 8.4480
_cell_angle_alpha 92.53
_cell_angle_beta 90.21
_cell_angle_gamma 105.80
loop_
_space_group_symop_operation_xyz
'x,y,z'
'-x,-y,-z'
loop_
_atom_site_label
_atom_site_type_symbol
_atom_site_fract_x
_atom_site_fract_y
_atom_site_fract_z
In1 In 0.0468 0.0947 0.1851
In2 In 0.4030 0.8114 0.4199
Pb1 Pb 0.2395 0.4790 0.8252
Au1 Au 0.1907 0.3804 0.4209
Au2 Au 0.4095 0.8216 0.0801
```

Top 10 peaks for 15° ≤ 2θ ≤ 90°, by angle:
| 2theta | d [Å] | intensity | hkl |
| --- | --- | --- | --- |
| 30.42 | 2.939 | 100 | 1 1 -1 |
| 30.58 | 2.923 | 100 | 1 -2 1 |
| 30.86 | 2.898 | 67 | 1 0 -2 |
| 31.02 | 2.883 | 80 | 1 -1 2 |
| 33.76 | 2.655 | 60 | 0 2 2 |
| 36.57 | 2.457 | 94 | -1 2 2 |
| 38.56 | 2.335 | 60 | 1 2 0 |
| 39.67 | 2.272 | 89 | 1 0 3 |
| 39.95 | 2.257 | 87 | 0 2 -3 |
| 44.41 | 2.040 | 87 | 2 -1 0 |



Calculated X-ray diffraction stick pattern
Compound: KBr4
Radiation: CuKα
Structure: the GGA-PBE geometry in Alexandria

Crystal structure
```
data_KBr4
_chemical_formula_sum 'K2 Br8'
_space_group_name_H-M_alt 'P 1'
_space_group_IT_number 1
_cell_length_a 5.0857
_cell_length_b 8.1849
_cell_length_c 10.4190
_cell_angle_alpha 100.19
_cell_angle_beta 90.88
_cell_angle_gamma 107.22
loop_
_space_group_symop_operation_xyz
'x,y,z'
loop_
_atom_site_label
_atom_site_type_symbol
_atom_site_fract_x
_atom_site_fract_y
_atom_site_fract_z
K1 K 0.0000 0.0000 0.0000
K2 K 0.3635 0.3680 0.5320
Br1 Br 0.1814 0.6845 0.7644
Br2 Br 0.3671 0.7275 0.0042
Br3 Br 0.4984 0.3807 0.1430
Br4 Br 0.6297 0.2464 0.8783
Br5 Br 0.6841 0.1831 0.2662
Br6 Br 0.7354 0.1254 0.6578
Br7 Br 0.8681 0.9868 0.3884
Br8 Br 0.9958 0.6410 0.5246
```

Top 10 peaks for 15° ≤ 2θ ≤ 90°, by angle:
| 2theta | d [Å] | intensity | hkl |
| --- | --- | --- | --- |
| 19.70 | 4.506 | 52 | 1 0 -1 |
| 22.65 | 3.926 | 27 | 0 1 2 |
| 23.16 | 3.840 | 65 | 0 2 -1 |
| 24.52 | 3.630 | 100 | 1 1 0 |
| 24.83 | 3.586 | 42 | 1 1 -1 |
| 28.58 | 3.123 | 37 | 1 -2 2 |
| 30.65 | 2.917 | 37 | 0 1 3 |
| 32.92 | 2.721 | 27 | -1 1 3 |
| 33.95 | 2.641 | 28 | 1 -2 3 |
| 36.13 | 2.486 | 28 | 0 3 -2 |



Calculated X-ray diffraction stick pattern
Compound: K3Cd6Hg
Radiation: CuKα
Structure: the GGA-PBE geometry in Alexandria

Crystal structure
```
data_K3Cd6Hg
_chemical_formula_sum 'K6 Cd12 Hg2'
_space_group_name_H-M_alt 'C 1 2/m 1'
_space_group_IT_number 12
_cell_length_a 13.7274
_cell_length_b 6.0578
_cell_length_c 7.8304
_cell_angle_alpha 90.00
_cell_angle_beta 105.29
_cell_angle_gamma 90.00
loop_
_space_group_symop_operation_xyz
'x,y,z'
'-x,-y,-z'
'-x,y,-z'
'x,-y,z'
'x+1/2,y+1/2,z'
'-x+1/2,-y+1/2,-z'
'-x+1/2,y+1/2,-z'
'x+1/2,-y+1/2,z'
loop_
_atom_site_label
_atom_site_type_symbol
_atom_site_fract_x
_atom_site_fract_y
_atom_site_fract_z
K1 K 0.0000 0.0000 0.0000
K2 K 0.0560 0.5000 0.3014
Cd1 Cd 0.2010 0.0000 0.4466
Cd2 Cd 0.2057 0.2507 0.8073
Hg1 Hg 0.0000 0.0000 0.5000
```

Top 10 peaks for 15° ≤ 2θ ≤ 90°, by angle:
| 2theta | d [Å] | intensity | hkl |
| --- | --- | --- | --- |
| 15.29 | 5.793 | 43 | 2 0 -1 |
| 16.09 | 5.509 | 56 | 1 1 0 |
| 26.93 | 3.310 | 46 | 4 0 0 |
| 30.15 | 2.964 | 100 | 2 0 2 |
| 31.83 | 2.811 | 67 | 0 2 1 |
| 32.51 | 2.754 | 51 | 2 2 0 |
| 33.38 | 2.684 | 39 | 2 2 -1 |
| 38.09 | 2.363 | 63 | 0 2 2 |
| 38.81 | 2.320 | 38 | 4 0 -3 |
| 39.99 | 2.255 | 54 | 4 2 -1 |



Calculated X-ray diffraction stick pattern
Compound: Ga2AuSe4
Radiation: CuKα
Structure: the GGA-PBE geometry in Alexandria

Crystal structure
```
data_Ga2AuSe4
_chemical_formula_sum 'Ga2 Au1 Se4'
_space_group_name_H-M_alt 'P -4 2 m'
_space_group_IT_number 111
_cell_length_a 5.3899
_cell_length_b 5.3899
_cell_length_c 6.2476
_cell_angle_alpha 90.00
_cell_angle_beta 90.00
_cell_angle_gamma 90.00
loop_
_space_group_symop_operation_xyz
'x,y,z'
'y,-x,-z'
'-x,-y,z'
'-y,x,-z'
'x,-y,-z'
'y,x,z'
'-x,y,-z'
'-y,-x,z'
loop_
_atom_site_label
_atom_site_type_symbol
_atom_site_fract_x
_atom_site_fract_y
_atom_site_fract_z
Ga1 Ga 0.0000 0.5000 0.0000
Au1 Au 0.0000 0.0000 0.5000
Se1 Se 0.2718 0.2718 0.7543
```

Top 10 peaks for 15° ≤ 2θ ≤ 90°, by angle:
| 2theta | d [Å] | intensity | hkl |
| --- | --- | --- | --- |
| 16.45 | 5.390 | 17 | 1 0 0 |
| 21.78 | 4.081 | 31 | 1 0 1 |
| 27.41 | 3.254 | 100 | 1 1 1 |
| 33.15 | 2.703 | 17 | 1 0 2 |
| 40.10 | 2.249 | 15 | 2 1 1 |
| 44.40 | 2.041 | 53 | 2 0 2 |
| 47.71 | 1.906 | 26 | 2 2 0 |
| 49.90 | 1.827 | 19 | 1 1 3 |
| 55.92 | 1.644 | 25 | 3 1 1 |
| 86.57 | 1.124 | 14 | 4 2 2 |



Calculated X-ray diffraction stick pattern
Compound: AcPr5As6
Radiation: CuKα
Structure: the GGA-PBE geometry in Alexandria

Crystal structure
```
data_AcPr5As6
_chemical_formula_sum 'Ac2 Pr10 As12'
_space_group_name_H-M_alt 'C 1 2/m 1'
_space_group_IT_number 12
_cell_length_a 7.5375
_cell_length_b 13.0522
_cell_length_c 7.5363
_cell_angle_alpha 90.00
_cell_angle_beta 109.49
_cell_angle_gamma 90.00
loop_
_space_group_symop_operation_xyz
'x,y,z'
'-x,-y,-z'
'-x,y,-z'
'x,-y,z'
'x+1/2,y+1/2,z'
'-x+1/2,-y+1/2,-z'
'-x+1/2,y+1/2,-z'
'x+1/2,-y+1/2,z'
loop_
_atom_site_label
_atom_site_type_symbol
_atom_site_fract_x
_atom_site_fract_y
_atom_site_fract_z
Ac1 Ac 0.0000 0.0000 0.0000
Pr1 Pr 0.0000 0.1658 0.5000
Pr2 Pr 0.0000 0.3330 0.0000
Pr3 Pr 0.0000 0.5000 0.5000
As1 As 0.2453 0.3302 0.7458
As2 As 0.2446 0.5000 0.2533
```

Top 10 peaks for 15° ≤ 2θ ≤ 90°, by angle:
| 2theta | d [Å] | intensity | hkl |
| --- | --- | --- | --- |
| 25.07 | 3.553 | 21 | 2 0 0 |
| 29.02 | 3.077 | 100 | 1 3 1 |
| 41.51 | 2.176 | 76 | 2 0 2 |
| 49.10 | 1.855 | 11 | 3 3 1 |
| 51.44 | 1.776 | 27 | 4 0 0 |
| 60.15 | 1.538 | 13 | 2 6 2 |
| 66.20 | 1.412 | 5 | 4 0 2 |
| 68.15 | 1.376 | 35 | 3 3 3 |
| 75.73 | 1.256 | 26 | 1 3 5 |
| 81.23 | 1.184 | 4 | 6 0 0 |



Calculated X-ray diffraction stick pattern
Compound: CeNdTm6
Radiation: CuKα
Structure: the GGA-PBE geometry in Alexandria

Crystal structure
```
data_CeNdTm6
_chemical_formula_sum 'Ce2 Nd2 Tm12'
_space_group_name_H-M_alt 'A m m 2'
_space_group_IT_number 38
_cell_length_a 5.6236
_cell_length_b 7.1421
_cell_length_c 12.3332
_cell_angle_alpha 90.00
_cell_angle_beta 90.00
_cell_angle_gamma 90.00
loop_
_space_group_symop_operation_xyz
'x,y,z'
'-x,-y,z'
'-x,y,z'
'x,-y,z'
'x,y+1/2,z+1/2'
'-x,-y+1/2,z+1/2'
'-x,y+1/2,z+1/2'
'x,-y+1/2,z+1/2'
loop_
_atom_site_label
_atom_site_type_symbol
_atom_site_fract_x
_atom_site_fract_y
_atom_site_fract_z
Ce1 Ce 0.0000 0.0000 0.0000
Nd1 Nd 0.5000 0.0000 0.1659
Tm1 Tm 0.0000 0.0000 0.4996
Tm2 Tm 0.0000 0.2494 0.2521
Tm3 Tm 0.5000 0.0000 0.6681
Tm4 Tm 0.5000 0.2470 0.9175
```

Top 10 peaks for 15° ≤ 2θ ≤ 90°, by angle:
| 2theta | d [Å] | intensity | hkl |
| --- | --- | --- | --- |
| 28.91 | 3.088 | 24 | 0 2 2 |
| 31.83 | 2.812 | 25 | 2 0 0 |
| 33.10 | 2.707 | 100 | 1 0 4 |
| 43.53 | 2.079 | 16 | 2 2 2 |
| 51.28 | 1.781 | 13 | 0 2 6 |
| 57.52 | 1.602 | 21 | 3 0 4 |
| 61.63 | 1.505 | 15 | 2 2 6 |
| 62.32 | 1.490 | 11 | 1 4 4 |
| 84.92 | 1.142 | 9 | 1 2 10 |
| 88.59 | 1.104 | 9 | 4 4 0 |